For NaCaCeBiO6, a crystal structure in the Materials Project, relaxed with PBE gives the computed powder XRD pattern in this record (CuKα).
Neutral-atom scattering factors, no anomalous dispersion.

Principal peaks in the range 10 to 80 degrees two-theta, in order of rising 2θ:
- d 4.321, rel. 45, hkl 0 0 2
- d 4.169, rel. 76, hkl 1 1 0
- d 3.000, rel. 100, hkl 1 1 2
- d 2.948, rel. 60, hkl 2 0 0
- d 2.435, rel. 19, hkl 2 0 2
- d 2.161, rel. 19, hkl 0 0 4
- d 2.085, rel. 29, hkl 2 2 0
- d 1.918, rel. 20, hkl 1 1 4
- d 1.865, rel. 22, hkl 3 1 0
- d 1.743, rel. 26, hkl 2 0 4
- d 1.712, rel. 49, hkl 3 1 2
- d 1.500, rel. 19, hkl 2 2 4

Structure:
```
data_NaCaCeBiO6
_chemical_formula_sum 'Na2 Ca2 Ce2 Bi2 O12'
_cell_length_a 5.8961
_cell_length_b 5.8961
_cell_length_c 8.6422
_cell_angle_alpha 90.00
_cell_angle_beta 90.00
_cell_angle_gamma 90.00
_space_group_name_H-M_alt 'P -4 n 2'
_space_group_IT_number 118
loop_
_space_group_symop_operation_xyz
'x,y,z'
'y,-x,-z'
'-x,-y,z'
'-y,x,-z'
'-x+1/2,y+1/2,z+1/2'
'-y+1/2,-x+1/2,-z+1/2'
'x+1/2,-y+1/2,z+1/2'
'y+1/2,x+1/2,-z+1/2'
loop_
_atom_site_label
_atom_site_type_symbol
_atom_site_fract_x
_atom_site_fract_y
_atom_site_fract_z
Na1 Na 0.0000 0.5000 0.2500
Ca1 Ca 0.0000 0.5000 0.7500
Ce1 Ce 0.0000 0.0000 0.0000
Bi1 Bi 0.0000 0.0000 0.5000
O1 O 0.0000 0.0000 0.2547
O2 O 0.1664 0.3213 0.5165
```

For Tb5Si3C, a crystal structure in the Materials Project, relaxed with PBE gives the computed powder XRD pattern in this record (CuKα).
Neutral-atom scattering factors, no anomalous dispersion.

Principal peaks in the range 10 to 80 degrees two-theta, in order of rising 2θ:
- d 4.246, rel. 23, hkl 1 1 0
- d 3.677, rel. 23, hkl 2 0 0
- d 3.551, rel. 32, hkl 1 1 1
- d 2.964, rel. 57, hkl 1 0 2
- d 2.780, rel. 53, hkl 2 1 0
- d 2.575, rel. 73, hkl 1 1 2
- d 2.554, rel. 100, hkl 2 1 1
- d 2.451, rel. 20, hkl 3 0 0
- d 1.776, rel. 28, hkl 2 2 2
- d 1.705, rel. 30, hkl 2 1 3
- d 1.605, rel. 27, hkl 4 1 0
- d 1.599, rel. 24, hkl 4 0 2

Structure:
```
data_Tb5Si3C
_chemical_formula_sum 'Tb10 Si6 C2'
_cell_length_a 8.4917
_cell_length_b 8.4917
_cell_length_c 6.4779
_cell_angle_alpha 90.00
_cell_angle_beta 90.00
_cell_angle_gamma 120.00
_space_group_name_H-M_alt 'P 63/m c m'
_space_group_IT_number 193
_space_group_name_Hall '-P 6c 2'
loop_
_atom_site_label
_atom_site_type_symbol
_atom_site_fract_x
_atom_site_fract_y
_atom_site_fract_z
Tb1 Tb 0.0000 0.2235 0.2500
Tb2 Tb 0.3333 0.6667 0.0000
Si1 Si 0.0000 0.4101 0.7500
C1 C 0.0000 0.0000 0.0000
```